(1)
Calculated XRD peak list of KHg3PbO4 for a wavelength of 1.5418 Å, from a PBE-relaxed structure.
Intensities are scaled so that the largest is 100.

Most intense lines, 2θ from 10° to 90°, by angle:
index	2theta	I (rel.)
1 0 0	14.80	100
1 1 1	25.78	51
2 0 0	29.86	84
2 1 0	33.48	50
2 2 0	42.73	84
4 2 0	70.34	33

Cell and atoms:
a = 5.985 Å, b = 5.985 Å, c = 5.985 Å
α = 90.00°, β = 90.00°, γ = 90.00°
Space group P-43m (No. 215)
Inequivalent atoms, fractional coordinates:
K 0.000 0.000 0.000 x1
Hg 0.000 0.500 0.500 x3
Pb 0.500 0.500 0.500 x1
O 0.289 0.289 0.289 x4



(2)
Calculated XRD peak list of KHg3Te4Os for a wavelength of 1.5418 Å, from a PBE-relaxed structure.
Intensities are scaled so that the largest is 100.

Most intense lines, 2θ from 10° to 90°, by angle:
index	2theta	I (rel.)
1 0 0	11.39	100
1 1 1	19.80	45
2 2 0	32.61	67
2 2 1	34.64	26
3 1 1	38.44	23
3 2 0	41.94	27

Cell and atoms:
a = 7.767 Å, b = 7.767 Å, c = 7.767 Å
α = 90.00°, β = 90.00°, γ = 90.00°
Space group P-43m (No. 215)
Inequivalent atoms, fractional coordinates:
K 0.000 0.000 0.000 x1
Hg 0.000 0.500 0.500 x3
Te 0.315 0.315 0.315 x4
Os 0.500 0.500 0.500 x1



(3)
Calculated XRD peak list of K2HgSb2Pb for a wavelength of 1.5418 Å, from a PBE-relaxed structure.
Intensities are scaled so that the largest is 100.

Most intense lines, 2θ from 10° to 90°, by angle:
index	2theta	I (rel.)
0 0 2	16.28	66
1 0 0	21.20	29
0 1 2	26.84	100
1 0 3	32.63	34
1 1 0	37.15	67
1 1 2	40.81	42

Cell and atoms:
a = 4.8398 Å, b = 4.8398 Å, c = 10.8910 Å
α = 90.00°, β = 90.00°, γ = 120.00°
Space group P3m1 (No. 156)
Inequivalent atoms, fractional coordinates:
K 0.0000 0.0000 0.0000 x1
K 0.0000 0.0000 0.4711 x1
Hg 0.3333 0.6667 0.2281 x1
Sb 0.3333 0.6667 0.6730 x1
Sb 0.6667 0.3333 0.2264 x1
Pb 0.6667 0.3333 0.8025 x1



(4)
Calculated XRD peak list of K3Hg4Pd4 for a wavelength of 1.5418 Å, from a PBE-relaxed structure.
Intensities are scaled so that the largest is 100.

Most intense lines, 2θ from 10° to 90°, by angle:
index	2theta	I (rel.)
1 1 0	14.82	79
2 2 0	29.90	84
3 1 0	33.52	53
3 2 1	39.90	94
4 1 1	45.53	100
6 1 1	68.42	51

Cell and atoms:
a = 8.453 Å, b = 8.453 Å, c = 8.453 Å
α = 90.00°, β = 90.00°, γ = 90.00°
Space group I-43m (No. 217)
Inequivalent atoms, fractional coordinates:
K 0.000 0.000 0.500 x6
Hg 0.200 0.200 0.800 x8
Pd 0.116 0.116 0.116 x8



(5)
Calculated XRD peak list of KZrHg3S4 for a wavelength of 1.5418 Å, from a PBE-relaxed structure.
Intensities are scaled so that the largest is 100.

Most intense lines, 2θ from 10° to 90°, by angle:
index	2theta	I (rel.)
0 1 1	14.66	100
2 0 -1	24.83	55
0 2 2	29.57	58
2 2 0	35.14	79
1 2 -3	35.41	50
0 2 3	36.19	51

Cell and atoms:
a = 7.177 Å, b = 7.715 Å, c = 10.233 Å
α = 90.00°, β = 108.36°, γ = 90.00°
Space group P2_1/m (No. 11)
Inequivalent atoms, fractional coordinates:
K 0.222 0.250 0.401 x2
Zr 0.008 0.250 0.747 x2
Hg 0.292 0.536 0.956 x4
Hg 0.459 0.750 0.190 x2
S 0.089 0.250 0.001 x2
S 0.171 0.004 0.687 x4
S 0.338 0.750 0.392 x2



(6)
Calculated XRD peak list of K6HgSe4 for a wavelength of 1.5418 Å, from a PBE-relaxed structure.
Intensities are scaled so that the largest is 100.

Most intense lines, 2θ from 10° to 90°, by angle:
index	2theta	I (rel.)
1 0 1	14.75	100
2 0 0	19.53	34
2 1 1	28.27	65
2 0 2	29.75	54
2 2 0	34.17	91
2 0 3	39.16	36

Cell and atoms:
a = 10.4969 Å, b = 10.4969 Å, c = 8.0016 Å
α = 90.00°, β = 90.00°, γ = 120.00°
Space group P6_3mc (No. 186)
Inequivalent atoms, fractional coordinates:
K 0.0550 0.5275 0.0000 x6
K 0.1487 0.2974 0.3280 x6
Hg 0.3333 0.6667 0.6243 x2
Se 0.1888 0.3776 0.7273 x6
Se 0.3333 0.6667 0.2773 x2



(7)
Calculated XRD peak list of KSnHg3Te4 for a wavelength of 1.5418 Å, from a PBE-relaxed structure.
Intensities are scaled so that the largest is 100.

Most intense lines, 2θ from 10° to 90°, by angle:
index	2theta	I (rel.)
0 1 1	12.25	70
0 2 1	21.65	100
1 0 -4	28.61	74
2 2 1	38.78	99
1 2 -5	40.70	63
0 4 0	41.82	70

Cell and atoms:
a = 5.948 Å, b = 8.640 Å, c = 13.393 Å
α = 90.00°, β = 100.37°, γ = 90.00°
Space group P2_1/m (No. 11)
Inequivalent atoms, fractional coordinates:
K 0.143 0.250 0.349 x2
Sn 0.267 0.750 0.236 x2
Hg 0.180 0.250 0.639 x2
Hg 0.271 0.004 0.936 x4
Te 0.048 0.250 0.038 x2
Te 0.267 0.750 0.460 x2
Te 0.405 0.515 0.740 x4



(8)
Calculated XRD peak list of K2Sr2Hg3 for a wavelength of 1.5418 Å, from a PBE-relaxed structure.
Intensities are scaled so that the largest is 100.

Most intense lines, 2θ from 10° to 90°, by angle:
index	2theta	I (rel.)
0 0 6	18.82	14
1 0 4	21.76	18
1 1 0	30.97	100
2 0 8	44.36	19
3 0 0	55.08	39
3 1 8	73.30	17

Cell and atoms:
a = 5.7730 Å, b = 5.7730 Å, c = 28.3245 Å
α = 90.00°, β = 90.00°, γ = 120.00°
Space group R3m (No. 160, hexagonal axes)
Inequivalent atoms, fractional coordinates:
K 0.0000 0.0000 0.0000 x3
K 0.0000 0.0000 0.4972 x3
Sr 0.0000 0.0000 0.2496 x3
Sr 0.0000 0.0000 0.7468 x3
Hg 0.0000 0.0000 0.3740 x3
Hg 0.0000 0.0000 0.6227 x3
Hg 0.0000 0.0000 0.8733 x3